Starting from DFT lattice parameters and positions (PBE), the XRD peak list of ScTeAuO was computed for Cu Kα (weighted mean of Kα1 and Kα2).

Atomic structure:
```
data_ScTeAuO
_chemical_formula_sum 'Sc4 Te4 Au4 O4'
_space_group_name_H-M_alt 'P 1 21/c 1'
_space_group_IT_number 14
_cell_length_a 8.6588
_cell_length_b 6.3795
_cell_length_c 6.5992
_cell_angle_alpha 90.00
_cell_angle_beta 105.71
_cell_angle_gamma 90.00
loop_
_space_group_symop_operation_xyz
'x,y,z'
'-x,-y,-z'
'-x,y+1/2,-z+1/2'
'x,-y+1/2,z+1/2'
loop_
_atom_site_label
_atom_site_type_symbol
_atom_site_fract_x
_atom_site_fract_y
_atom_site_fract_z
Sc1 Sc 0.0866 0.1509 0.3797
Te1 Te 0.3038 0.5336 0.6362
Au1 Au 0.4270 0.1865 0.5141
O1 O 0.0170 0.1374 0.6537
```

Main lines, in order of falling intensity (15 to 90 degrees two-theta):
d = 2.285 Å, I = 100; d = 3.401 Å, I = 86; d = 2.547 Å, I = 83; d = 2.732 Å, I = 74; d = 4.323 Å, I = 72; d = 2.017 Å, I = 64; d = 2.250 Å, I = 64; d = 2.803 Å, I = 57; d = 2.669 Å, I = 55; d = 5.066 Å, I = 50